(1)
Structure and simulated PXRD pattern of Ba3Hg2Sb3 (DFT lattice parameters and positions (GGA-PBE); CuKα).
Peak positions follow from Bragg's law for the DFT cell and can differ from measured ones.

Peak list (8 most intense, 2θ = 15–90°, sorted by position)
index  d/Å  Position (°2θ)  intensity
1 3 1  3.222  27.69  369
1 1 4  3.191  27.96  351
0 0 6  2.924  30.57  302
1 3 3  2.860  31.27  1000
0 4 4  2.625  34.16  238
2 0 0  2.487  36.12  322
2 0 6  1.895  48.02  173
1 7 0  1.750  52.28  139

Structural model:
a = 4.9740 Å, b = 13.0858 Å, c = 17.5464 Å
α = 90.00°, β = 90.00°, γ = 90.00°
Space group Cmcm (No. 63)
Symmetry-distinct sites (fractional):
Ba  0.0000  0.0794  0.1041 (multiplicity 8)
Ba  0.0000  0.3412  0.2500 (multiplicity 4)
Hg  0.0000  0.2314  0.5932 (multiplicity 8)
Sb  0.0000  0.3616  0.7500 (multiplicity 4)
Sb  0.0000  0.3832  0.0514 (multiplicity 8)

(2)
Structure and simulated PXRD pattern of NaBIr (DFT lattice parameters and positions (GGA-PBE); CuKα).
Peak positions follow from Bragg's law for the DFT cell and can differ from measured ones.

Peak list (8 most intense, 2θ = 15–90°, sorted by position)
index  d/Å  Position (°2θ)  intensity
0 0 1  5.116  17.33  1000
-1 1 1  2.772  32.29  240
1 -1 1  2.762  32.42  238
0 0 2  2.558  35.08  288
1 1 0  2.371  37.96  207
1 1 -2  2.363  38.09  205
2 0 -1  2.073  43.67  241
1 -2 0  1.990  45.59  204

Structural model:
a = 4.2363 Å, b = 4.2366 Å, c = 5.7607 Å
α = 106.67°, β = 107.01°, γ = 101.88°
Space group P-1 (No. 2)
Symmetry-distinct sites (fractional):
Na  0.0000  0.0000  0.0000 (multiplicity 1)
Na  0.5000  0.5000  0.0000 (multiplicity 1)
B  0.1734  0.1734  0.5002 (multiplicity 2)
Ir  0.2903  0.7094  0.4998 (multiplicity 2)

(3)
Structure and simulated PXRD pattern of La2Zn3Ir (DFT lattice parameters and positions (GGA-PBE); CuKα).
Peak positions follow from Bragg's law for the DFT cell and can differ from measured ones.

Peak list (8 most intense, 2θ = 15–90°, sorted by position)
index  d/Å  Position (°2θ)  intensity
0 0 2  2.833  31.58  830
1 1 -2  2.721  32.91  1000
3 1 -1  2.698  33.20  384
3 1 -2  2.601  34.48  753
4 0 -2  2.582  34.74  261
3 1 0  2.299  39.18  857
4 0 -3  2.264  39.81  294
0 2 0  2.227  40.50  614

Structural model:
a = 10.3826 Å, b = 4.4543 Å, c = 7.3071 Å
α = 90.00°, β = 129.13°, γ = 90.00°
Space group Cm (No. 8)
Symmetry-distinct sites (fractional):
La  0.0000  0.0000  0.0000 (multiplicity 2)
La  0.1071  0.0000  0.6082 (multiplicity 2)
Zn  0.2171  0.5000  0.0302 (multiplicity 2)
Zn  0.2300  0.5000  0.4183 (multiplicity 2)
Zn  0.3806  0.0000  0.2248 (multiplicity 2)
Ir  0.4056  0.0000  0.6372 (multiplicity 2)

(4)
Structure and simulated PXRD pattern of Mg8Tl2Ag (DFT lattice parameters and positions (GGA-PBE); CuKα).
Peak positions follow from Bragg's law for the DFT cell and can differ from measured ones.

Peak list (8 most intense, 2θ = 15–90°, sorted by position)
index  d/Å  Position (°2θ)  intensity
1 0 0  4.625  19.19  1000
0 0 3  4.001  22.22  281
1 1 0  3.271  27.27  340
1 0 3  3.026  29.52  660
1 1 3  2.532  35.45  950
2 0 0  2.313  38.94  413
2 1 3  1.837  49.63  445
3 1 3  1.374  68.28  275

Structural model:
a = 4.6253 Å, b = 4.6253 Å, c = 12.0016 Å
α = 90.00°, β = 90.00°, γ = 90.00°
Space group P4/mmm (No. 123)
Symmetry-distinct sites (fractional):
Mg  0.0000  0.0000  0.1817 (multiplicity 2)
Mg  0.0000  0.5000  0.0000 (multiplicity 2)
Mg  0.0000  0.5000  0.3684 (multiplicity 4)
Tl  0.5000  0.5000  0.1828 (multiplicity 2)
Ag  0.5000  0.5000  0.5000 (multiplicity 1)

(5)
Structure and simulated PXRD pattern of Er4TmS7 (DFT lattice parameters and positions (GGA-PBE); CuKα).
Peak positions follow from Bragg's law for the DFT cell and can differ from measured ones.

Peak list (8 most intense, 2θ = 15–90°, sorted by position)
index  d/Å  Position (°2θ)  intensity
2 0 2  3.693  24.10  823
2 0 -3  3.605  24.69  1000
1 1 1  3.357  26.55  333
4 0 -1  3.176  28.09  387
3 1 -1  2.807  31.89  324
3 1 -2  2.672  33.54  462
3 1 1  2.591  34.62  355
1 1 4  2.129  42.45  278

Structural model:
a = 12.7084 Å, b = 3.7685 Å, c = 11.5144 Å
α = 90.00°, β = 104.56°, γ = 90.00°
Space group Cm (No. 8)
Symmetry-distinct sites (fractional):
Er  0.0000  0.0000  0.0000 (multiplicity 2)
Er  0.0881  0.5000  0.3904 (multiplicity 2)
Er  0.1881  0.0000  0.7660 (multiplicity 2)
Er  0.3880  0.5000  0.5779 (multiplicity 2)
Tm  0.2762  0.5000  0.1566 (multiplicity 2)
S  0.0473  0.5000  0.6294 (multiplicity 2)
S  0.1295  0.5000  0.9317 (multiplicity 2)
S  0.1481  0.0000  0.2252 (multiplicity 2)
S  0.2288  0.0000  0.5269 (multiplicity 2)
S  0.3470  0.5000  0.7932 (multiplicity 2)
S  0.3876  0.0000  0.0788 (multiplicity 2)
S  0.4290  0.5000  0.3624 (multiplicity 2)

(6)
Structure and simulated PXRD pattern of La6PmRu4 (DFT lattice parameters and positions (GGA-PBE); CuKα).
Peak positions follow from Bragg's law for the DFT cell and can differ from measured ones.

Peak list (8 most intense, 2θ = 15–90°, sorted by position)
index  d/Å  Position (°2θ)  intensity
1 1 -2  2.955  30.24  869
1 1 1  2.932  30.49  1000
2 -2 0  2.856  31.32  649
-2 2 1  2.679  33.45  312
2 0 -2  2.640  33.95  261
0 2 -2  2.610  34.36  273
-1 2 2  2.334  38.58  295
0 3 0  2.070  43.73  295

Structural model:
a = 6.8253 Å, b = 6.8965 Å, c = 7.2675 Å
α = 96.96°, β = 100.15°, γ = 112.86°
Space group P1 (No. 1)
Symmetry-distinct sites (fractional):
La  0.0000  0.0000  0.0000 (multiplicity 1)
La  0.0304  0.2823  0.5985 (multiplicity 1)
La  0.3534  0.6958  0.0404 (multiplicity 1)
La  0.5085  0.7642  0.5622 (multiplicity 1)
La  0.6390  0.2993  0.9603 (multiplicity 1)
La  0.9527  0.7152  0.3971 (multiplicity 1)
Pm  0.4772  0.2355  0.4408 (multiplicity 1)
Ru  0.1417  0.3895  0.2609 (multiplicity 1)
Ru  0.2689  0.9733  0.7221 (multiplicity 1)
Ru  0.7187  0.0248  0.2701 (multiplicity 1)
Ru  0.8464  0.6060  0.7336 (multiplicity 1)

(7)
Structure and simulated PXRD pattern of LiLuBeAl (DFT lattice parameters and positions (GGA-PBE); CuKα).
Peak positions follow from Bragg's law for the DFT cell and can differ from measured ones.

Peak list (8 most intense, 2θ = 15–90°, sorted by position)
index  d/Å  Position (°2θ)  intensity
1 1 1  3.647  24.41  1000
2 0 0  3.158  28.26  884
2 2 0  2.233  40.39  853
3 1 1  1.905  47.75  513
2 2 2  1.823  50.02  248
3 3 1  1.449  64.28  213
4 2 0  1.412  66.16  322
4 2 2  1.289  73.44  296

Structural model:
a = 6.3168 Å, b = 6.3168 Å, c = 6.3168 Å
α = 90.00°, β = 90.00°, γ = 90.00°
Space group F-43m (No. 216)
Symmetry-distinct sites (fractional):
Li  0.0000  0.0000  0.0000 (multiplicity 4)
Lu  0.2500  0.2500  0.7500 (multiplicity 4)
Be  0.0000  0.0000  0.5000 (multiplicity 4)
Al  0.2500  0.2500  0.2500 (multiplicity 4)

(8)
Structure and simulated PXRD pattern of RbMg14Ga (DFT lattice parameters and positions (GGA-PBE); CuKα).
Peak positions follow from Bragg's law for the DFT cell and can differ from measured ones.

Peak list (8 most intense, 2θ = 15–90°, sorted by position)
index  d/Å  Position (°2θ)  intensity
0 2 2  2.826  31.66  266
4 0 0  2.668  33.59  263
2 0 4  2.497  35.96  1000
4 2 2  1.940  46.83  170
0 4 0  1.632  56.40  162
6 0 4  1.505  61.62  197
4 4 0  1.392  67.27  176
2 4 4  1.366  68.72  133

Structural model:
a = 10.6711 Å, b = 6.5233 Å, c = 11.3085 Å
α = 90.00°, β = 90.00°, γ = 90.00°
Space group Amm2 (No. 38)
Symmetry-distinct sites (fractional):
Rb  0.0000  0.0000  0.0000 (multiplicity 2)
Mg  0.0000  0.2467  0.2488 (multiplicity 4)
Mg  0.2317  0.0000  0.6462 (multiplicity 4)
Mg  0.2595  0.2453  0.3984 (multiplicity 8)
Mg  0.2679  0.0000  0.1565 (multiplicity 4)
Mg  0.5000  0.0000  0.4844 (multiplicity 2)
Mg  0.5000  0.0000  0.9829 (multiplicity 2)
Mg  0.5000  0.2426  0.7324 (multiplicity 4)
Ga  0.0000  0.0000  0.4687 (multiplicity 2)

(9)
Structure and simulated PXRD pattern of Pr3Ho4Sc (DFT lattice parameters and positions (GGA-PBE); CuKα).
Peak positions follow from Bragg's law for the DFT cell and can differ from measured ones.

Peak list (8 most intense, 2θ = 15–90°, sorted by position)
index  d/Å  Position (°2θ)  intensity
0 2 1  3.146  28.37  236
4 0 0  2.847  31.42  360
2 2 1  2.754  32.52  1000
2 0 2  2.740  32.69  483
0 2 3  1.808  50.47  192
6 2 1  1.625  56.64  203
4 2 3  1.526  60.67  219
2 4 2  1.516  61.13  160

Structural model:
a = 11.3872 Å, b = 7.2811 Å, c = 6.2506 Å
α = 90.00°, β = 90.00°, γ = 90.00°
Space group Pmn2_1 (No. 31)
Symmetry-distinct sites (fractional):
Pr  0.0000  0.1276  0.0000 (multiplicity 2)
Pr  0.2498  0.1243  0.3336 (multiplicity 4)
Ho  0.0000  0.3779  0.5035 (multiplicity 2)
Ho  0.0000  0.6227  0.0005 (multiplicity 2)
Ho  0.2443  0.6232  0.3386 (multiplicity 4)
Sc  0.0000  0.8679  0.4966 (multiplicity 2)

(10)
Structure and simulated PXRD pattern of H6Pt3Pb (DFT lattice parameters and positions (GGA-PBE); CuKα).
Peak positions follow from Bragg's law for the DFT cell and can differ from measured ones.

Peak list (8 most intense, 2θ = 15–90°, sorted by position)
index  d/Å  Position (°2θ)  intensity
1 1 1  4.071  21.83  163
1 3 0  3.157  28.26  411
2 2 1  2.663  33.65  1000
1 1 2  2.495  36.00  291
0 4 2  1.888  48.21  344
4 0 0  1.879  48.44  164
2 2 3  1.564  59.05  205
4 4 2  1.332  70.75  187

Structural model:
a = 7.5161 Å, b = 10.4378 Å, c = 5.4677 Å
α = 90.00°, β = 90.00°, γ = 90.00°
Space group Cmcm (No. 63)
Symmetry-distinct sites (fractional):
H  0.0000  0.1030  0.2500 (multiplicity 4)
H  0.0000  0.3352  0.2500 (multiplicity 4)
H  0.2376  0.0000  0.0000 (multiplicity 8)
H  0.2500  0.2500  0.0000 (multiplicity 8)
Pt  0.0000  0.0000  0.0000 (multiplicity 4)
Pt  0.2360  0.3629  0.2500 (multiplicity 8)
Pb  0.0000  0.3525  0.7500 (multiplicity 4)

(11)
Structure and simulated PXRD pattern of KSrErI6 (DFT lattice parameters and positions (GGA-PBE); CuKα).
Peak positions follow from Bragg's law for the DFT cell and can differ from measured ones.

Peak list (8 most intense, 2θ = 15–90°, sorted by position)
index  d/Å  Position (°2θ)  intensity
1 0 2  5.196  17.07  187
1 1 2  3.609  24.67  1000
1 1 4  2.792  32.06  536
3 0 0  2.365  38.04  336
2 -1 6  2.161  41.81  268
4 -2 2  1.978  45.87  133
0 0 8  1.906  47.70  130
3 0 8  1.485  62.56  134

Structural model:
a = 8.1940 Å, b = 8.1940 Å, c = 15.2576 Å
α = 90.00°, β = 90.00°, γ = 120.00°
Space group P-31c (No. 163)
Symmetry-distinct sites (fractional):
K  0.0000  0.0000  0.0000 (multiplicity 2)
Sr  0.3333  0.6667  0.2500 (multiplicity 2)
Er  0.3333  0.6667  0.7500 (multiplicity 2)
I  0.0253  0.3763  0.6337 (multiplicity 12)

(12)
Structure and simulated PXRD pattern of MgZrRe2Bi (DFT lattice parameters and positions (GGA-PBE); CuKα).
Peak positions follow from Bragg's law for the DFT cell and can differ from measured ones.

Peak list (8 most intense, 2θ = 15–90°, sorted by position)
index  d/Å  Position (°2θ)  intensity
0 0 1  5.302  16.72  236
1 0 1  3.567  24.97  514
1 1 1  2.867  31.20  1000
0 0 2  2.651  33.81  381
2 0 0  2.410  37.31  584
2 0 2  1.783  51.23  475
3 1 1  1.465  63.51  274
2 2 2  1.434  65.07  233

Structural model:
a = 4.8199 Å, b = 4.8199 Å, c = 5.3023 Å
α = 90.00°, β = 90.00°, γ = 90.00°
Space group P4/mmm (No. 123)
Symmetry-distinct sites (fractional):
Mg  0.0000  0.0000  0.0000 (multiplicity 1)
Zr  0.0000  0.0000  0.5000 (multiplicity 1)
Re  0.0000  0.5000  0.5000 (multiplicity 2)
Bi  0.5000  0.5000  0.0000 (multiplicity 1)